1.
Structure and computed PXRD pattern of CoAsS (a DFT-relaxed cell (GGA-PBE, the Materials Project); Cu Kα X-rays).
Neutral-atom scattering factors, no anomalous dispersion.

The 12 most intense peaks (2θ from 10° to 90°), by intensity:
hkl	2θ/deg	d_spacing	I (rel.)
0 2 1	35.77	2.510	1000
0 2 0	31.89	2.806	839
2 1 0	35.98	2.496	822
1 2 1	39.67	2.272	684
1 3 -1	54.00	1.698	568
3 1 1	55.25	1.663	554
1 1 3	54.95	1.671	496
1 0 0	15.90	5.573	486
1 0 2	36.48	2.463	459
2 0 -2	44.80	2.023	434
1 1 1	28.01	3.186	395
1 0 -2	35.16	2.553	391

a = 5.579 Å, b = 5.613 Å, c = 5.618 Å
α = 90.00°, β = 92.55°, γ = 90.00°
Atoms (fractional coordinates):
Co 0.000 0.000 0.000
Co 0.000 0.500 0.500
Co 0.500 0.000 0.500
Co 0.500 0.500 0.000
As 0.123 0.124 0.628
As 0.123 0.376 0.128
As 0.877 0.624 0.872
As 0.877 0.876 0.372
S 0.373 0.618 0.614
S 0.373 0.882 0.114
S 0.627 0.118 0.886
S 0.627 0.382 0.386

2.
Structure and computed PXRD pattern of CoAsS (a DFT-relaxed cell (GGA-PBE, the Materials Project); Cu Kα X-rays).
Neutral-atom scattering factors, no anomalous dispersion.

The 12 most intense peaks (2θ from 10° to 90°), by intensity:
hkl	2θ/deg	d_spacing	I (rel.)
1 1 0	32.44	2.760	1000
1 1 -1	35.60	2.522	848
2 1 1	50.50	1.807	782
1 0 1	25.41	3.505	724
0 1 3	56.21	1.636	617
1 0 -2	35.84	2.505	540
1 1 -2	45.04	2.013	532
1 0 2	38.46	2.341	472
1 1 1	36.94	2.433	470
2 1 -1	48.42	1.880	440
0 2 0	54.26	1.690	422
0 0 1	15.80	5.610	295

a = 4.792 Å, b = 3.381 Å, c = 5.627 Å
α = 90.00°, β = 94.46°, γ = 90.00°
Atoms (fractional coordinates):
Co 0.000 0.000 0.000
Co 0.500 0.500 0.500
As 0.209 0.000 0.636
As 0.791 0.000 0.364
S 0.274 0.500 0.140
S 0.726 0.500 0.860

3.
Structure and computed PXRD pattern of CoAsS (a DFT-relaxed cell (GGA-PBE, the Materials Project); Cu Kα X-rays).
Neutral-atom scattering factors, no anomalous dispersion.

The 12 most intense peaks (2θ from 10° to 90°), by intensity:
hkl	2θ/deg	d_spacing	I (rel.)
1 1 0	32.16	2.783	1000
1 1 1	36.09	2.489	927
1 2 1	50.26	1.815	840
0 1 2	37.76	2.383	652
1 0 3	56.07	1.640	364
2 0 0	52.36	1.747	317
0 1 1	25.12	3.546	307
1 1 2	46.11	1.969	245
2 1 2	66.34	1.409	234
0 1 0	19.31	4.596	206
1 1 3	59.87	1.545	175
0 3 1	62.92	1.477	161

a = 3.495 Å, b = 4.596 Å, c = 5.573 Å
α = 90.00°, β = 90.00°, γ = 90.00°
Atoms (fractional coordinates):
Co 0.000 0.236 0.000
Co 0.500 0.764 0.500
As 0.000 0.461 0.375
As 0.500 0.539 0.875
S 0.000 0.048 0.628
S 0.500 0.952 0.128

4.
Structure and computed PXRD pattern of Co2SbAs (a DFT-relaxed cell (GGA-PBE, the Materials Project); Cu Kα X-rays).
Neutral-atom scattering factors, no anomalous dispersion.

The 12 most intense peaks (2θ from 10° to 90°), by intensity:
hkl	2θ/deg	d_spacing	I (rel.)
1 0 1	32.79	2.731	1000
1 0 2	45.16	2.008	663
1 1 0	48.88	1.863	538
2 1 2	88.84	1.101	178
2 0 2	68.74	1.366	177
2 0 1	60.12	1.539	170
1 0 3	61.37	1.511	155
2 1 1	81.04	1.187	144
2 0 3	82.14	1.173	68
1 0 0	27.64	3.227	54
0 0 4	73.92	1.282	48
1 1 2	61.52	1.507	34

a = 3.726 Å, b = 3.726 Å, c = 5.129 Å
α = 90.00°, β = 90.00°, γ = 120.00°
Atoms (fractional coordinates):
Co 0.000 0.000 0.236
Co 0.000 0.000 0.764
Sb 0.333 0.667 0.500
As 0.667 0.333 0.000

5.
Structure and computed PXRD pattern of CoAsSe (a DFT-relaxed cell (GGA-PBE, the Materials Project); Cu Kα X-rays).
Neutral-atom scattering factors, no anomalous dispersion.

The 12 most intense peaks (2θ from 10° to 90°), by intensity:
hkl	2θ/deg	d_spacing	I (rel.)
2 1 0	34.75	2.581	1000
2 1 1	38.19	2.357	782
3 1 1	52.58	1.740	662
3 2 1	59.96	1.543	409
3 0 2	57.57	1.601	244
2 0 0	30.98	2.886	241
4 2 1	75.47	1.260	204
5 1 1	87.89	1.111	202
2 2 0	44.39	2.041	156
3 3 2	77.57	1.231	96
4 0 0	64.58	1.443	63
4 2 0	73.35	1.291	56

a = 5.772 Å, b = 5.772 Å, c = 5.772 Å
α = 90.00°, β = 90.00°, γ = 90.00°
Atoms (fractional coordinates):
Co 0.002 0.002 0.002
Co 0.498 0.998 0.502
Co 0.502 0.498 0.998
Co 0.998 0.502 0.498
As 0.124 0.876 0.376
As 0.376 0.124 0.876
As 0.624 0.624 0.624
As 0.876 0.376 0.124
Se 0.123 0.623 0.877
Se 0.377 0.377 0.377
Se 0.623 0.877 0.123
Se 0.877 0.123 0.623

6.
Structure and computed PXRD pattern of CoAsSe (a DFT-relaxed cell (GGA-PBE, the Materials Project); Cu Kα X-rays).
Neutral-atom scattering factors, no anomalous dispersion.

The 12 most intense peaks (2θ from 10° to 90°), by intensity:
hkl	2θ/deg	d_spacing	I (rel.)
3 1 2	52.53	1.742	1000
1 0 4	34.78	2.579	990
2 1 1	35.53	2.527	956
2 1 2	38.10	2.362	652
1 3 1	49.91	1.827	538
0 0 4	31.01	2.884	532
1 2 2	37.80	2.380	465
0 2 5	50.34	1.812	458
0 2 2	34.33	2.612	440
1 2 1	35.21	2.549	438
0 2 1	31.50	2.840	386
1 1 5	45.07	2.012	382

a = 5.774 Å, b = 5.861 Å, c = 11.531 Å
α = 90.00°, β = 90.00°, γ = 90.00°
Atoms (fractional coordinates):
Co 0.003 0.175 0.127
Co 0.003 0.325 0.627
Co 0.497 0.675 0.127
Co 0.497 0.825 0.627
Co 0.503 0.175 0.373
Co 0.503 0.325 0.873
Co 0.997 0.675 0.373
Co 0.997 0.825 0.873
As 0.134 0.685 0.565
As 0.134 0.815 0.065
As 0.366 0.185 0.565
As 0.366 0.315 0.065
As 0.634 0.685 0.935
As 0.634 0.815 0.435
As 0.866 0.185 0.935
As 0.866 0.315 0.435
Se 0.122 0.057 0.320
Se 0.122 0.443 0.820
Se 0.378 0.557 0.320
Se 0.378 0.943 0.820
Se 0.622 0.057 0.180
Se 0.622 0.443 0.680
Se 0.878 0.557 0.180
Se 0.878 0.943 0.680

7.
Structure and computed PXRD pattern of CoAsSe (a DFT-relaxed cell (GGA-PBE, the Materials Project); Cu Kα X-rays).
Neutral-atom scattering factors, no anomalous dispersion.

The 12 most intense peaks (2θ from 10° to 90°), by intensity:
hkl	2θ/deg	d_spacing	I (rel.)
1 1 -1	34.74	2.583	1000
1 1 0	31.20	2.867	990
1 1 1	35.11	2.556	874
1 0 -2	35.82	2.507	802
1 0 2	36.55	2.459	725
0 1 3	54.07	1.696	710
2 1 1	48.44	1.879	710
0 2 0	51.32	1.780	686
2 1 -1	47.86	1.901	679
1 2 -2	64.15	1.452	285
1 2 2	64.63	1.442	267
0 1 1	29.45	3.033	213

a = 4.834 Å, b = 3.561 Å, c = 5.788 Å
α = 90.00°, β = 91.27°, γ = 90.00°
Atoms (fractional coordinates):
Co 0.000 0.000 0.000
Co 0.500 0.500 0.500
As 0.208 0.000 0.629
As 0.792 0.000 0.371
Se 0.284 0.500 0.137
Se 0.716 0.500 0.863

8.
Structure and computed PXRD pattern of SrCo2As2 (a DFT-relaxed cell (GGA-PBE, the Materials Project); Cu Kα X-rays).
Neutral-atom scattering factors, no anomalous dispersion.

The 12 most intense peaks (2θ from 10° to 90°), by intensity:
hkl	2θ/deg	d_spacing	I (rel.)
1 0 3	32.14	2.785	1000
2 0 0	45.56	1.991	470
1 1 2	35.38	2.537	438
2 1 3	56.84	1.620	383
1 1 6	57.52	1.602	345
1 1 4	44.69	2.028	215
0 0 2	15.16	5.846	177
2 2 0	66.41	1.408	146
1 1 0	31.78	2.816	135
2 0 8	81.74	1.178	103
1 0 5	44.96	2.016	91
3 0 3	75.70	1.256	82

a = 3.982 Å, b = 3.982 Å, c = 11.692 Å
α = 90.00°, β = 90.00°, γ = 90.00°
Atoms (fractional coordinates):
Sr 0.000 0.000 0.000
Sr 0.500 0.500 0.500
Co 0.000 0.500 0.250
Co 0.000 0.500 0.750
Co 0.500 0.000 0.250
Co 0.500 0.000 0.750
As 0.000 0.000 0.355
As 0.000 0.000 0.645
As 0.500 0.500 0.145
As 0.500 0.500 0.855